Calculated powder diffractogram of CaAl2Si4O15 for Cu Kα (weighted mean of Kα1 and Kα2), from a crystal structure in the Materials Project, relaxed with PBE.
Intensities are scaled so that the largest is 100.

Unit cell a=7.677 b=10.096 c=10.130 alpha=83.01 beta=73.88 gamma=74.19
Space group P-1 (No. 2)
One atom of each set of equivalent atoms:
Ca: 0.245 0.241 0.237 [2 per cell]
Al: 0.260 0.931 0.321 [2 per cell]
Al: 0.263 0.320 0.928 [2 per cell]
Si: 0.159 0.644 0.878 [2 per cell]
Si: 0.160 0.878 0.644 [2 per cell]
Si: 0.331 0.800 0.035 [2 per cell]
Si: 0.334 0.033 0.800 [2 per cell]
O: 0.069 0.081 0.326 [2 per cell]
O: 0.071 0.327 0.080 [2 per cell]
O: 0.097 0.343 0.476 [2 per cell]
O: 0.221 0.735 0.735 [2 per cell]
O: 0.222 0.410 0.472 [2 per cell]
O: 0.222 0.694 0.002 [2 per cell]
O: 0.225 0.001 0.694 [2 per cell]
O: 0.257 0.484 0.851 [2 per cell]
O: 0.258 0.852 0.483 [2 per cell]
O: 0.275 0.822 0.197 [2 per cell]
O: 0.275 0.947 0.947 [2 per cell]
O: 0.281 0.196 0.819 [2 per cell]
O: 0.343 0.416 0.354 [2 per cell]
O: 0.438 0.025 0.265 [2 per cell]
O: 0.441 0.265 0.021 [2 per cell]

Largest 6 diffraction maxima, sorted by position, 5° ≤ 2θ ≤ 70°:
d (Å), intensity, index
9.710, 100, 0 1 0
7.044, 35, 0 1 1
4.593, 27, 1 0 2
4.259, 52, 0 1 -2
3.752, 42, 1 2 2
3.570, 59, 2 0 0